Starting from a crystal structure in Alexandria, relaxed with GGA-PBE, the powder diffraction line list of Sr2MnMoN4 was computed for copper Kα.
No peak broadening, texture or thermal motion is included.

Top 10 peaks for 2θ = 5–70°, low angle first:
d (Å), I/Imax, (hkl)
6.153, 8, 0 0 1
3.076, 31, 0 0 2
2.936, 36, 2 0 0
2.740, 100, 1 2 1
2.124, 30, 2 0 2
1.793, 11, 0 4 0
1.704, 20, 1 2 3
1.655, 22, 3 2 1
1.530, 10, 2 4 0
1.370, 13, 2 4 2

Structural model:
a = 5.873 Å, b = 7.172 Å, c = 6.153 Å
α = 90.00°, β = 90.00°, γ = 90.00°
Space group Pmmn (No. 59, origin choice 2)
Unique sites:
Sr (0.250, 0.002, 0.242)
Mn (0.250, 0.250, 0.778)
Mo (0.250, 0.750, 0.804)
N (0.000, 0.250, 0.007)
N (0.250, 0.519, 0.653)

Starting from a crystal structure in Alexandria, relaxed with GGA-PBE, the powder diffraction line list of KRb2ZnP2 was computed for copper Kα.
No peak broadening, texture or thermal motion is included.

Top 10 peaks for 2θ = 5–70°, low angle first:
d (Å), I/Imax, (hkl)
6.881, 47, 1 1 0
4.176, 36, 1 2 1
3.441, 57, 2 2 0
3.059, 43, 0 2 2
2.956, 100, 1 4 1
2.658, 24, 2 4 0
2.554, 67, 2 0 2
2.470, 24, 0 4 2
1.857, 24, 1 4 3
1.646, 23, 2 8 0

Structural model:
a = 7.818 Å, b = 14.500 Å, c = 6.749 Å
α = 90.00°, β = 90.00°, γ = 90.00°
Space group Ibam (No. 72)
Unique sites:
K (0.000, 0.000, 0.250)
Rb (0.207, 0.323, 0.000)
Zn (0.000, 0.500, 0.250)
P (0.179, 0.417, 0.500)

Starting from a crystal structure in Alexandria, relaxed with GGA-PBE, the powder diffraction line list of Pm5Zn2Ag was computed for copper Kα.
No peak broadening, texture or thermal motion is included.

Top 10 peaks for 2θ = 5–70°, low angle first:
d (Å), I/Imax, (hkl)
3.283, 14, 2 1 1
3.176, 23, 1 1 4
2.833, 100, 2 1 3
2.725, 45, 2 0 4
2.653, 14, 2 2 0
2.643, 16, 0 0 6
2.373, 44, 3 1 0
1.766, 14, 3 3 0
1.721, 15, 4 1 3
1.615, 16, 3 3 4

Structural model:
a = 7.503 Å, b = 7.503 Å, c = 15.860 Å
α = 90.00°, β = 90.00°, γ = 90.00°
Space group I4/mcm (No. 140)
Unique sites:
Pm (0.000, 0.000, 0.000)
Pm (0.168, 0.332, 0.150)
Zn (0.120, 0.380, 0.500)
Ag (0.000, 0.000, 0.250)